Record 1
Calculated X-ray diffraction stick pattern
Compound: CdHg
Radiation: Cu Kα
Structure: a DFT-relaxed cell (PBE, Alexandria)
Peak positions follow from Bragg's law for the DFT cell and can differ from measured ones.

Largest 10 diffraction maxima, by angle, 2θ = 10–90°:
27.27 deg, d 3.271, rel. 17.4; 28.63 deg, d 3.117, rel. 25.3; 34.70 deg, d 2.585, rel. 100.0; 37.95 deg, d 2.371, rel. 21.6; 41.41 deg, d 2.181, rel. 27.8; 57.02 deg, d 1.615, rel. 13.4; 57.42 deg, d 1.605, rel. 21.1; 66.47 deg, d 1.407, rel. 15.0; 71.21 deg, d 1.324, rel. 16.3; 73.23 deg, d 1.293, rel. 8.6

abc: 6.9580 6.9580 6.9580
angles: 96.67 96.67 140.16
Positions (direct):
Cd: 0.1629 0.1629 0.3258
Cd: 0.1629 0.8371 0.0000
Cd: 0.8371 0.1629 0.0000
Cd: 0.8371 0.8371 0.6742
Hg: 0.1954 0.5000 0.6954
Hg: 0.5000 0.1954 0.6954
Hg: 0.5000 0.8046 0.3046
Hg: 0.8046 0.5000 0.3046


Record 2
Calculated X-ray diffraction stick pattern
Compound: Be2H6Br
Radiation: Cu Kα
Structure: a DFT-relaxed cell (PBE, Alexandria)
Peak positions follow from Bragg's law for the DFT cell and can differ from measured ones.

Largest 10 diffraction maxima, by angle, 2θ = 10–90°:
23.83 deg, d 3.733, rel. 100.0; 27.59 deg, d 3.233, rel. 51.1; 39.41 deg, d 2.286, rel. 62.3; 46.58 deg, d 1.950, rel. 55.5; 48.79 deg, d 1.867, rel. 11.6; 62.62 deg, d 1.483, rel. 23.9; 64.44 deg, d 1.446, rel. 15.4; 71.47 deg, d 1.320, rel. 19.8; 76.56 deg, d 1.244, rel. 17.1; 89.71 deg, d 1.093, rel. 18.3

abc: 4.5724 4.5724 4.5724
angles: 60.00 60.00 60.00
Positions (direct):
Be: 0.2500 0.2500 0.2500
Be: 0.7500 0.7500 0.7500
H: 0.1441 0.1441 0.8559
H: 0.1441 0.8559 0.1441
H: 0.1441 0.8559 0.8559
H: 0.8559 0.1441 0.1441
H: 0.8559 0.1441 0.8559
H: 0.8559 0.8559 0.1441
Br: 0.5000 0.5000 0.5000


Record 3
Calculated X-ray diffraction stick pattern
Compound: LiYSiO4
Radiation: Cu Kα
Structure: a DFT-relaxed cell (PBE, Alexandria)
Peak positions follow from Bragg's law for the DFT cell and can differ from measured ones.

Largest 10 diffraction maxima, by angle, 2θ = 10–90°:
16.69 deg, d 5.311, rel. 100.0; 17.70 deg, d 5.010, rel. 45.2; 22.74 deg, d 3.910, rel. 40.2; 24.11 deg, d 3.692, rel. 61.0; 30.28 deg, d 2.952, rel. 56.1; 33.05 deg, d 2.711, rel. 80.3; 33.15 deg, d 2.702, rel. 34.6; 36.84 deg, d 2.440, rel. 33.9; 44.40 deg, d 2.040, rel. 26.3; 50.88 deg, d 1.795, rel. 28.2

abc: 5.4551 6.2567 10.9557
angles: 90.00 113.53 90.00
Positions (direct):
Li: 0.0805 0.1342 0.4299
Li: 0.0805 0.3658 0.9299
Li: 0.9195 0.6342 0.0701
Li: 0.9195 0.8658 0.5701
Y: 0.4464 0.6161 0.6522
Y: 0.4464 0.8839 0.1522
Y: 0.5536 0.1161 0.8478
Y: 0.5536 0.3839 0.3478
Si: 0.0959 0.6517 0.3595
Si: 0.0959 0.8483 0.8595
Si: 0.9041 0.1517 0.1405
Si: 0.9041 0.3483 0.6405
O: 0.1860 0.6641 0.9759
O: 0.1860 0.8359 0.4759
O: 0.2264 0.0707 0.9445
O: 0.2264 0.4293 0.4445
O: 0.2304 0.1420 0.2229
O: 0.2304 0.3580 0.7229
O: 0.2410 0.6630 0.2527
O: 0.2410 0.8370 0.7527
O: 0.7590 0.1630 0.2473
O: 0.7590 0.3370 0.7473
O: 0.7696 0.6420 0.2771
O: 0.7696 0.8580 0.7771
O: 0.7736 0.5707 0.5555
O: 0.7736 0.9293 0.0555
O: 0.8140 0.1641 0.5241
O: 0.8140 0.3359 0.0241


Record 4
Calculated X-ray diffraction stick pattern
Compound: Tl8In3Pb2
Radiation: Cu Kα
Structure: a DFT-relaxed cell (PBE, Alexandria)
Peak positions follow from Bragg's law for the DFT cell and can differ from measured ones.

Largest 10 diffraction maxima, by angle, 2θ = 10–90°:
20.39 deg, d 4.356, rel. 8.5; 22.22 deg, d 4.001, rel. 16.7; 25.61 deg, d 3.478, rel. 14.3; 32.72 deg, d 2.737, rel. 29.6; 32.96 deg, d 2.718, rel. 100.0; 34.98 deg, d 2.565, rel. 10.7; 40.04 deg, d 2.252, rel. 17.8; 52.63 deg, d 1.739, rel. 15.7; 58.55 deg, d 1.577, rel. 18.3; 68.27 deg, d 1.374, rel. 12.5

abc: 10.2872 4.5037 10.2895
angles: 90.00 115.71 90.00
Positions (direct):
Tl: 0.0937 0.0000 0.4065
Tl: 0.1189 0.5000 0.8952
Tl: 0.3670 0.0000 0.1331
Tl: 0.3948 0.5000 0.6192
Tl: 0.6052 0.5000 0.3808
Tl: 0.6330 0.0000 0.8669
Tl: 0.8811 0.5000 0.1048
Tl: 0.9063 0.0000 0.5935
In: 0.2691 0.0000 0.7694
In: 0.5000 0.5000 0.0000
In: 0.7309 0.0000 0.2306
Pb: 0.2347 0.5000 0.2657
Pb: 0.7653 0.5000 0.7343


Record 5
Calculated X-ray diffraction stick pattern
Compound: Ce3AlFeS7
Radiation: Cu Kα
Structure: a DFT-relaxed cell (PBE, Alexandria)
Peak positions follow from Bragg's law for the DFT cell and can differ from measured ones.

Largest 10 diffraction maxima, by angle, 2θ = 10–90°:
17.86 deg, d 4.967, rel. 37.4; 25.59 deg, d 3.480, rel. 100.0; 27.94 deg, d 3.193, rel. 22.8; 34.52 deg, d 2.598, rel. 19.2; 35.05 deg, d 2.560, rel. 31.7; 36.17 deg, d 2.484, rel. 42.3; 36.85 deg, d 2.439, rel. 45.9; 40.77 deg, d 2.213, rel. 23.0; 41.23 deg, d 2.189, rel. 23.7; 49.48 deg, d 1.842, rel. 28.0

abc: 9.7561 9.7561 6.1405
angles: 90.00 90.00 120.00
Positions (direct):
Ce: 0.1540 0.7860 0.0000
Ce: 0.2140 0.3679 0.0000
Ce: 0.3679 0.1540 0.5000
Ce: 0.6321 0.8460 0.0000
Ce: 0.7860 0.6321 0.5000
Ce: 0.8460 0.2140 0.5000
Al: 0.3333 0.6667 0.5748
Al: 0.6667 0.3333 0.0748
Fe: 0.0000 0.0000 0.1739
Fe: 0.0000 0.0000 0.6739
S: 0.0899 0.5247 0.7219
S: 0.0986 0.8683 0.4198
S: 0.1317 0.2303 0.4198
S: 0.2303 0.0986 0.9198
S: 0.3333 0.6667 0.2109
S: 0.4348 0.9101 0.7219
S: 0.4753 0.5652 0.7219
S: 0.5247 0.4348 0.2219
S: 0.5652 0.0899 0.2219
S: 0.6667 0.3333 0.7109
S: 0.7697 0.9014 0.4198
S: 0.8683 0.7697 0.9198
S: 0.9014 0.1317 0.9198
S: 0.9101 0.4753 0.2219


Record 6
Calculated X-ray diffraction stick pattern
Compound: K3Ga2O4
Radiation: Cu Kα
Structure: a DFT-relaxed cell (PBE, Alexandria)
Peak positions follow from Bragg's law for the DFT cell and can differ from measured ones.

Largest 10 diffraction maxima, by angle, 2θ = 10–90°:
15.41 deg, d 5.751, rel. 49.5; 18.90 deg, d 4.695, rel. 17.4; 19.43 deg, d 4.568, rel. 15.2; 28.73 deg, d 3.107, rel. 100.0; 30.14 deg, d 2.965, rel. 20.2; 32.20 deg, d 2.780, rel. 15.1; 32.68 deg, d 2.740, rel. 17.1; 34.64 deg, d 2.590, rel. 16.7; 36.34 deg, d 2.472, rel. 17.4; 39.11 deg, d 2.303, rel. 21.2

abc: 7.5232 7.5232 5.9356
angles: 91.91 91.91 80.16
Positions (direct):
K: 0.0749 0.9251 0.7500
K: 0.2150 0.5711 0.4534
K: 0.4289 0.7850 0.0466
K: 0.5711 0.2150 0.9534
K: 0.7850 0.4289 0.5466
K: 0.9251 0.0749 0.2500
Ga: 0.1268 0.3465 0.9419
Ga: 0.3465 0.1268 0.4419
Ga: 0.6535 0.8732 0.5581
Ga: 0.8732 0.6535 0.0581
O: 0.1311 0.6049 0.9874
O: 0.1567 0.2546 0.6316
O: 0.2546 0.1567 0.1316
O: 0.3951 0.8689 0.5126
O: 0.6049 0.1311 0.4874
O: 0.7454 0.8433 0.8684
O: 0.8433 0.7454 0.3684
O: 0.8689 0.3951 0.0126


Record 7
Calculated X-ray diffraction stick pattern
Compound: Ac2Rh
Radiation: Cu Kα
Structure: a DFT-relaxed cell (PBE, Alexandria)
Peak positions follow from Bragg's law for the DFT cell and can differ from measured ones.

Largest 10 diffraction maxima, by angle, 2θ = 10–90°:
14.04 deg, d 6.308, rel. 16.5; 25.46 deg, d 3.499, rel. 19.2; 26.97 deg, d 3.306, rel. 100.0; 27.61 deg, d 3.231, rel. 40.1; 35.07 deg, d 2.559, rel. 30.6; 35.58 deg, d 2.523, rel. 19.4; 41.25 deg, d 2.188, rel. 16.4; 42.58 deg, d 2.123, rel. 29.4; 45.81 deg, d 1.981, rel. 20.3; 50.36 deg, d 1.812, rel. 16.0

abc: 14.5702 4.3768 6.9974
angles: 90.00 90.00 90.00
Positions (direct):
Ac: 0.0376 0.2500 0.2352
Ac: 0.2108 0.2500 0.7795
Ac: 0.2892 0.7500 0.2795
Ac: 0.4624 0.7500 0.7352
Ac: 0.5376 0.2500 0.2648
Ac: 0.7108 0.2500 0.7205
Ac: 0.7892 0.7500 0.2205
Ac: 0.9624 0.7500 0.7648
Rh: 0.1306 0.7500 0.0137
Rh: 0.3694 0.2500 0.5137
Rh: 0.6306 0.7500 0.4863
Rh: 0.8694 0.2500 0.9863


Record 8
Calculated X-ray diffraction stick pattern
Compound: Dy12Y6Th
Radiation: Cu Kα
Structure: a DFT-relaxed cell (PBE, Alexandria)
Peak positions follow from Bragg's law for the DFT cell and can differ from measured ones.

Largest 10 diffraction maxima, by angle, 2θ = 10–90°:
16.96 deg, d 5.227, rel. 35.0; 28.79 deg, d 3.101, rel. 31.7; 30.19 deg, d 2.961, rel. 64.1; 31.50 deg, d 2.840, rel. 70.0; 31.82 deg, d 2.812, rel. 100.0; 31.94 deg, d 2.802, rel. 54.1; 34.31 deg, d 2.613, rel. 59.3; 34.72 deg, d 2.584, rel. 32.9; 55.05 deg, d 1.668, rel. 32.4; 57.04 deg, d 1.615, rel. 30.6

abc: 8.7207 8.7207 8.7207
angles: 99.85 99.85 99.85
Positions (direct):
Dy: 0.0000 0.2550 0.7450
Dy: 0.0000 0.7450 0.2550
Dy: 0.1537 0.1537 0.4249
Dy: 0.1537 0.4249 0.1537
Dy: 0.2550 0.0000 0.7450
Dy: 0.2550 0.7450 0.0000
Dy: 0.4249 0.1537 0.1537
Dy: 0.5751 0.8463 0.8463
Dy: 0.7450 0.0000 0.2550
Dy: 0.7450 0.2550 0.0000
Dy: 0.8463 0.5751 0.8463
Dy: 0.8463 0.8463 0.5751
Y: 0.1649 0.6063 0.6063
Y: 0.3937 0.3937 0.8351
Y: 0.3937 0.8351 0.3937
Y: 0.6063 0.1649 0.6063
Y: 0.6063 0.6063 0.1649
Y: 0.8351 0.3937 0.3937
Th: 0.5000 0.5000 0.5000


Record 9
Calculated X-ray diffraction stick pattern
Compound: LaMnSiBi
Radiation: Cu Kα
Structure: a DFT-relaxed cell (PBE, Alexandria)
Peak positions follow from Bragg's law for the DFT cell and can differ from measured ones.

Largest 10 diffraction maxima, by angle, 2θ = 10–90°:
22.60 deg, d 3.934, rel. 20.1; 27.10 deg, d 3.291, rel. 53.6; 31.53 deg, d 2.837, rel. 22.6; 31.75 deg, d 2.818, rel. 100.0; 31.86 deg, d 2.809, rel. 60.1; 38.79 deg, d 2.322, rel. 21.7; 39.06 deg, d 2.306, rel. 25.5; 43.14 deg, d 2.097, rel. 19.8; 51.03 deg, d 1.790, rel. 20.1; 56.09 deg, d 1.640, rel. 24.4

abc: 4.0389 6.0500 6.0500
angles: 40.56 90.00 90.00
Positions (direct):
La: 0.0000 0.0000 0.0000
Mn: 0.0000 0.2840 0.2840
Si: 0.5000 0.4143 0.4143
Bi: 0.5000 0.7051 0.7051


Record 10
Calculated X-ray diffraction stick pattern
Compound: La5Ag2Rh
Radiation: Cu Kα
Structure: a DFT-relaxed cell (PBE, Alexandria)
Peak positions follow from Bragg's law for the DFT cell and can differ from measured ones.

Largest 10 diffraction maxima, by angle, 2θ = 10–90°:
25.70 deg, d 3.466, rel. 29.1; 29.54 deg, d 3.024, rel. 100.0; 30.67 deg, d 2.915, rel. 48.3; 31.75 deg, d 2.819, rel. 44.7; 32.28 deg, d 2.773, rel. 65.5; 34.78 deg, d 2.579, rel. 40.0; 35.95 deg, d 2.498, rel. 58.8; 48.70 deg, d 1.870, rel. 26.7; 61.32 deg, d 1.512, rel. 23.9; 63.89 deg, d 1.457, rel. 23.2

abc: 8.0056 12.0460 4.9965
angles: 90.00 90.00 90.00
Positions (direct):
La: 0.0000 0.0000 0.0000
La: 0.1450 0.2976 0.0000
La: 0.1868 0.5766 0.5000
La: 0.3132 0.0766 0.5000
La: 0.3550 0.7976 0.0000
La: 0.5000 0.5000 0.0000
La: 0.6450 0.2024 0.0000
La: 0.6868 0.9234 0.5000
La: 0.8132 0.4234 0.5000
La: 0.8550 0.7024 0.0000
Ag: 0.0817 0.8366 0.5000
Ag: 0.4183 0.3366 0.5000
Ag: 0.5817 0.6634 0.5000
Ag: 0.9183 0.1634 0.5000
Rh: 0.0000 0.5000 0.0000
Rh: 0.5000 0.0000 0.0000


Record 11
Calculated X-ray diffraction stick pattern
Compound: Sr3SnHg3
Radiation: Cu Kα
Structure: a DFT-relaxed cell (PBE, Alexandria)
Peak positions follow from Bragg's law for the DFT cell and can differ from measured ones.

Largest 10 diffraction maxima, by angle, 2θ = 10–90°:
20.37 deg, d 4.359, rel. 56.7; 27.93 deg, d 3.194, rel. 43.9; 28.44 deg, d 3.138, rel. 81.5; 29.15 deg, d 3.064, rel. 22.3; 29.48 deg, d 3.030, rel. 34.5; 32.85 deg, d 2.726, rel. 37.4; 34.62 deg, d 2.591, rel. 100.0; 34.76 deg, d 2.581, rel. 32.1; 38.21 deg, d 2.356, rel. 50.5; 56.57 deg, d 1.627, rel. 23.6

abc: 6.5083 6.5083 16.8433
angles: 107.02 107.02 42.44
Positions (direct):
Sr: 0.0315 0.0315 0.3886
Sr: 0.1041 0.1041 0.9209
Sr: 0.2427 0.2427 0.2312
Sr: 0.7573 0.7573 0.7688
Sr: 0.8959 0.8959 0.0791
Sr: 0.9685 0.9685 0.6114
Sn: 0.2618 0.2618 0.6158
Sn: 0.7382 0.7382 0.3842
Hg: 0.3674 0.3674 0.4629
Hg: 0.3848 0.3848 0.9242
Hg: 0.4794 0.4794 0.7699
Hg: 0.5206 0.5206 0.2301
Hg: 0.6152 0.6152 0.0758
Hg: 0.6326 0.6326 0.5371